Diffraction record for Ac2Be2PdO6. The X-ray diffraction stick pattern is simulated, not measured: it uses the PBE geometry in Alexandria and Cu Kα (weighted mean of Kα1 and Kα2).
Intensities are scaled so that the largest is 100.

Structural model:
```
data_Ac2Be2PdO6
_chemical_formula_sum 'Ac2 Be2 Pd1 O6'
_cell_length_a 5.6382
_cell_length_b 5.6382
_cell_length_c 5.8682
_cell_angle_alpha 90.00
_cell_angle_beta 90.00
_cell_angle_gamma 120.00
_symmetry_space_group_name_H-M 'P -3'
_symmetry_Int_Tables_number 147
_symmetry_space_group_name_Hall '-P 3'
loop_
_atom_site_label
_atom_site_type_symbol
_atom_site_fract_x
_atom_site_fract_y
_atom_site_fract_z
Ac1 Ac 0.3333 0.6667 0.2669
Be1 Be 0.3333 0.6667 0.7763
Pd1 Pd 0.0000 0.0000 0.0000
O1 O 0.1067 0.3687 0.7724
```

Largest 10 diffraction maxima, most intense first, 2θ from 10° to 90°:
| 2theta | I (rel.) | h k l |
| --- | --- | --- |
| 23.70 | 100.0 | 0 1 1 |
| 31.74 | 51.2 | 1 1 0 |
| 40.00 | 40.0 | 2 0 1 |
| 35.70 | 31.9 | 1 0 2 |
| 51.94 | 29.9 | 1 2 1 |
| 48.51 | 15.0 | 0 2 2 |
| 44.57 | 13.7 | 2 -1 2 |
| 59.14 | 13.5 | 2 1 2 |
| 30.47 | 13.0 | 0 0 2 |
| 56.54 | 12.3 | 3 0 0 |